No. 1
Diffraction record for LiCo2O4. The powder XRD pattern is theoretical, not measured: it uses a structure optimized by DFT (GGA+U) and Cu Kα X-rays.

Peak list (6 most intense, 15° ≤ 2θ ≤ 90°, sorted by position)
| 2theta | intensity |
| --- | --- |
| 19.0 | 88 |
| 19.2 | 100 |
| 36.8 | 25 |
| 44.9 | 72 |
| 45.6 | 34 |
| 66.0 | 46 |

Crystal structure
```
LiCo2O4
1.0
-2.8294 2.8773 3.9772
2.8294 -2.8773 3.9772
2.8294 2.8773 -3.9772
Li Co O
2 4 8
Direct
0.5000 0.0000 0.0000
0.5000 0.5000 0.5000
0.0000 0.0000 0.0000
0.0000 0.0000 0.5000
0.0000 0.5000 0.0000
0.5000 0.0000 0.5000
0.2166 0.2399 0.9767
0.2340 0.2050 0.4710
0.2340 0.7631 0.0290
0.2369 0.7601 0.4767
0.7631 0.2399 0.5233
0.7660 0.2370 0.9710
0.7660 0.7950 0.5290
0.7834 0.7601 0.0233
```


No. 2
Diffraction record for Li3Co4O8. The powder XRD pattern is theoretical, not measured: it uses a structure optimized by DFT (GGA+U) and Cu Kα X-rays.

Peak list (6 most intense, 15° ≤ 2θ ≤ 90°, sorted by position)
| 2theta | intensity |
| --- | --- |
| 18.1 | 100 |
| 36.1 | 12 |
| 36.5 | 12 |
| 43.3 | 21 |
| 43.9 | 20 |
| 44.3 | 19 |

Crystal structure
```
Li3Co4O8
1.0
5.7080 0.0000 0.0000
2.7598 5.0359 0.0000
2.8513 1.5613 9.8144
Li Co O
6 8 16
Direct
0.2461 0.2624 0.2435
0.2473 0.2529 0.7549
0.2527 0.7395 0.7517
0.7473 0.2605 0.2483
0.7527 0.7471 0.2451
0.7539 0.7376 0.7565
0.0000 0.0000 0.0000
0.0000 0.0000 0.5000
0.0000 0.5000 0.0000
0.0000 0.5000 0.5000
0.5000 0.0000 0.0000
0.5000 0.0000 0.5000
0.5000 0.5000 0.0000
0.5000 0.5000 0.5000
0.1178 0.1487 0.1088
0.1248 0.6264 0.1104
0.1388 0.6106 0.6113
0.1474 0.1148 0.6026
0.3577 0.3733 0.8910
0.3690 0.8637 0.4006
0.3731 0.8758 0.8843
0.3883 0.3456 0.3952
0.6117 0.6544 0.6048
0.6269 0.1242 0.1157
0.6310 0.1363 0.5994
0.6423 0.6267 0.1090
0.8526 0.8852 0.3974
0.8612 0.3894 0.3887
0.8752 0.3736 0.8896
0.8822 0.8513 0.8912
```


No. 3
Diffraction record for Li3Co4O8. The powder XRD pattern is theoretical, not measured: it uses a structure optimized by DFT (GGA+U) and Cu Kα X-rays.

Peak list (6 most intense, 15° ≤ 2θ ≤ 90°, sorted by position)
| 2theta | intensity |
| --- | --- |
| 18.4 | 100 |
| 18.8 | 86 |
| 22.3 | 41 |
| 42.9 | 68 |
| 43.8 | 66 |
| 45.5 | 59 |

Crystal structure
```
Li3Co4O8
1.0
5.6833 0.0000 0.0000
-2.7071 5.0623 0.0000
-0.2114 -3.2141 4.8270
Li Co O
3 4 8
Direct
0.0000 0.0000 0.0000
0.0068 0.5137 0.0076
0.5003 0.9998 0.5012
0.4986 0.4969 0.4991
0.5006 0.9990 0.9992
0.9991 0.4976 0.4996
0.9989 0.9987 0.5009
0.2146 0.9440 0.7125
0.2378 0.4984 0.2873
0.2511 0.4905 0.7224
0.2714 0.0458 0.2768
0.7246 0.9456 0.7204
0.7469 0.5046 0.2767
0.7602 0.4966 0.7116
0.7833 0.0512 0.2867
```


No. 4
Diffraction record for Li2CoO3. The powder XRD pattern is theoretical, not measured: it uses a structure optimized by DFT (GGA+U) and Cu Kα X-rays.

Peak list (6 most intense, 15° ≤ 2θ ≤ 90°, sorted by position)
| 2theta | intensity |
| --- | --- |
| 18.6 | 100 |
| 20.8 | 22 |
| 34.6 | 21 |
| 41.6 | 41 |
| 44.5 | 32 |
| 45.7 | 28 |

Crystal structure
```
Li2CoO3
1.0
4.9144 0.0000 0.0000
1.4360 4.7816 0.0000
2.2220 0.1868 4.4799
Li Co O
4 2 6
Direct
0.0000 0.0000 0.0000
0.1568 0.4992 0.6851
0.5000 0.5000 0.0000
0.8432 0.5008 0.3149
0.3399 0.9939 0.3202
0.6601 0.0061 0.6798
0.1075 0.7723 0.3426
0.2617 0.2336 0.0162
0.4477 0.7771 0.6396
0.5523 0.2229 0.3604
0.7383 0.7664 0.9838
0.8925 0.2277 0.6574
```


No. 5
Diffraction record for Li3Co13O16. The powder XRD pattern is theoretical, not measured: it uses a structure optimized by DFT (GGA+U) and Cu Kα X-rays.

Peak list (6 most intense, 15° ≤ 2θ ≤ 90°, sorted by position)
| 2theta | intensity |
| --- | --- |
| 36.8 | 44 |
| 36.9 | 42 |
| 42.8 | 100 |
| 42.9 | 50 |
| 62.1 | 29 |
| 62.2 | 42 |

Crystal structure
```
Li3Co13O16
1.0
5.1609 0.0000 0.0000
0.8336 5.0986 0.0000
1.7079 0.5679 11.4421
Li Co O
3 13 16
Direct
0.0000 0.0000 0.0000
0.1890 0.2496 0.3122
0.8110 0.7504 0.6878
0.0655 0.7488 0.4366
0.1190 0.5038 0.8761
0.2466 0.9956 0.7511
0.3091 0.7523 0.1877
0.3741 0.5041 0.6263
0.4340 0.2460 0.0626
0.5000 0.0000 0.5000
0.5660 0.7540 0.9374
0.6259 0.4959 0.3737
0.6909 0.2477 0.8123
0.7534 0.0044 0.2489
0.8810 0.4962 0.1239
0.9345 0.2512 0.5634
0.0341 0.3663 0.7203
0.0940 0.1248 0.1557
0.1598 0.8785 0.5925
0.2260 0.6192 0.0306
0.2803 0.3772 0.4726
0.3483 0.1314 0.9046
0.4133 0.8660 0.3428
0.4642 0.6213 0.7841
0.5358 0.3787 0.2159
0.5867 0.1340 0.6572
0.6517 0.8686 0.0954
0.7197 0.6228 0.5274
0.7740 0.3808 0.9694
0.8402 0.1215 0.4075
0.9060 0.8752 0.8443
0.9659 0.6337 0.2797
```


No. 6
Diffraction record for Li5CoO4. The powder XRD pattern is theoretical, not measured: it uses a structure optimized by DFT (GGA+U) and Cu Kα X-rays.

Peak list (6 most intense, 15° ≤ 2θ ≤ 90°, sorted by position)
| 2theta | intensity |
| --- | --- |
| 18.8 | 31 |
| 23.4 | 100 |
| 27.7 | 22 |
| 33.7 | 29 |
| 46.5 | 23 |
| 57.2 | 23 |

Crystal structure
```
Li5CoO4
1.0
4.7232 0.0000 0.0000
0.0000 4.4034 4.7209
0.0000 -4.4034 4.7209
Li Co O
10 2 8
Direct
0.0000 0.0000 0.0000
0.0262 0.4410 0.0315
0.0585 0.7020 0.2666
0.4415 0.2020 0.7666
0.4738 0.9410 0.5315
0.5000 0.5000 0.5000
0.5262 0.5315 0.9410
0.5585 0.7666 0.2020
0.9415 0.2666 0.7020
0.9738 0.0315 0.4410
0.0000 0.7256 0.7256
0.5000 0.2256 0.2256
0.1604 0.9959 0.7162
0.2242 0.4825 0.7442
0.2758 0.9825 0.2442
0.3396 0.4959 0.2162
0.6604 0.2162 0.4959
0.7242 0.2442 0.9825
0.7758 0.7442 0.4825
0.8396 0.7162 0.9959
```


> What is the formula in the second record?

Li3Co4O8


What did the second record say?
Diffraction record for Li3Co4O8. The powder XRD pattern is theoretical, not measured: it uses a structure optimized by DFT (GGA+U) and Cu Kα X-rays.

Peak list (6 most intense, 15° ≤ 2θ ≤ 90°, sorted by position)
| 2theta | intensity |
| --- | --- |
| 18.1 | 100 |
| 36.1 | 12 |
| 36.5 | 12 |
| 43.3 | 21 |
| 43.9 | 20 |
| 44.3 | 19 |

Crystal structure
```
Li3Co4O8
1.0
5.7080 0.0000 0.0000
2.7598 5.0359 0.0000
2.8513 1.5613 9.8144
Li Co O
6 8 16
Direct
0.2461 0.2624 0.2435
0.2473 0.2529 0.7549
0.2527 0.7395 0.7517
0.7473 0.2605 0.2483
0.7527 0.7471 0.2451
0.7539 0.7376 0.7565
0.0000 0.0000 0.0000
0.0000 0.0000 0.5000
0.0000 0.5000 0.0000
0.0000 0.5000 0.5000
0.5000 0.0000 0.0000
0.5000 0.0000 0.5000
0.5000 0.5000 0.0000
0.5000 0.5000 0.5000
0.1178 0.1487 0.1088
0.1248 0.6264 0.1104
0.1388 0.6106 0.6113
0.1474 0.1148 0.6026
0.3577 0.3733 0.8910
0.3690 0.8637 0.4006
0.3731 0.8758 0.8843
0.3883 0.3456 0.3952
0.6117 0.6544 0.6048
0.6269 0.1242 0.1157
0.6310 0.1363 0.5994
0.6423 0.6267 0.1090
0.8526 0.8852 0.3974
0.8612 0.3894 0.3887
0.8752 0.3736 0.8896
0.8822 0.8513 0.8912
```


What did the fourth record say?
Diffraction record for Li2CoO3. The powder XRD pattern is theoretical, not measured: it uses a structure optimized by DFT (GGA+U) and Cu Kα X-rays.

Peak list (6 most intense, 15° ≤ 2θ ≤ 90°, sorted by position)
| 2theta | intensity |
| --- | --- |
| 18.6 | 100 |
| 20.8 | 22 |
| 34.6 | 21 |
| 41.6 | 41 |
| 44.5 | 32 |
| 45.7 | 28 |

Crystal structure
```
Li2CoO3
1.0
4.9144 0.0000 0.0000
1.4360 4.7816 0.0000
2.2220 0.1868 4.4799
Li Co O
4 2 6
Direct
0.0000 0.0000 0.0000
0.1568 0.4992 0.6851
0.5000 0.5000 0.0000
0.8432 0.5008 0.3149
0.3399 0.9939 0.3202
0.6601 0.0061 0.6798
0.1075 0.7723 0.3426
0.2617 0.2336 0.0162
0.4477 0.7771 0.6396
0.5523 0.2229 0.3604
0.7383 0.7664 0.9838
0.8925 0.2277 0.6574
```